[1]
The following is a computed powder diffractogram of TcHF. It was derived from a PBE-relaxed structure, using λ = 1.5418 Å (Cu Kα).
Intensities are scaled so that the largest is 1000.

Atomic structure:
Unit cell a=11.0871 b=4.9888 c=4.7196 alpha=90.00 beta=90.00 gamma=90.00
Positions (direct):
Tc 0.0956 0.2026 0.2419
Tc 0.0956 0.7974 0.7419
Tc 0.4044 0.2974 0.7419
Tc 0.4044 0.7026 0.2419
Tc 0.5956 0.2974 0.7581
Tc 0.5956 0.7026 0.2581
Tc 0.9044 0.2026 0.2581
Tc 0.9044 0.7974 0.7581
H 0.1047 0.1262 0.8662
H 0.1047 0.8738 0.3662
H 0.3953 0.3738 0.3662
H 0.3953 0.6262 0.8662
H 0.6047 0.3738 0.1338
H 0.6047 0.6262 0.6338
H 0.8953 0.1262 0.6338
H 0.8953 0.8738 0.1338
F 0.1699 0.4312 0.5701
F 0.1699 0.5688 0.0701
F 0.3301 0.0688 0.0701
F 0.3301 0.9312 0.5701
F 0.6699 0.0688 0.4299
F 0.6699 0.9312 0.9299
F 0.8301 0.4312 0.9299
F 0.8301 0.5688 0.4299

The 10 most intense peaks (5 to 70 degrees two-theta), by angle:
Position (°2θ)  intensity
15.99  101
27.23  1000
32.30  192
36.00  99
38.14  131
40.92  106
48.92  306
53.45  102
62.50  159
64.00  71

[2]
The following is a computed powder diffractogram of Nd6HgN3. It was derived from a PBE-relaxed structure, using λ = 1.5418 Å (Cu Kα).
Intensities are scaled so that the largest is 1000.

Atomic structure:
Unit cell a=8.2406 b=8.2406 c=3.8203 alpha=90.00 beta=90.00 gamma=110.95
Positions (direct):
Nd 0.1861 0.8139 0.0000
Nd 0.1915 0.4486 0.5000
Nd 0.4486 0.1915 0.5000
Nd 0.5514 0.8085 0.5000
Nd 0.8085 0.5514 0.5000
Nd 0.8139 0.1861 0.0000
Hg 0.0000 0.0000 0.5000
N 0.0000 0.5000 0.0000
N 0.5000 0.0000 0.0000
N 0.5000 0.5000 0.5000

The 10 most intense peaks (5 to 70 degrees two-theta), by angle:
Position (°2θ)  intensity
23.28  306
26.78  340
29.43  717
32.12  1000
32.61  344
33.04  367
34.39  367
37.86  333
40.45  493
47.59  408

[3]
The following is a computed powder diffractogram of TiAuBr. It was derived from a PBE-relaxed structure, using λ = 1.5418 Å (Cu Kα).
Intensities are scaled so that the largest is 1000.

Atomic structure:
Unit cell a=14.6960 b=3.2187 c=3.2187 alpha=60.00 beta=90.00 gamma=90.00
Positions (direct):
Ti 0.1411 0.0000 0.0000
Ti 0.8589 0.0000 0.0000
Au 0.0000 0.6666 0.6666
Au 0.5000 0.3115 0.3115
Br 0.2622 0.6667 0.6667
Br 0.7378 0.6667 0.6667

The 10 most intense peaks (5 to 70 degrees two-theta), by angle:
Position (°2θ)  intensity
12.04  606
24.22  667
32.70  1000
34.41  294
37.11  947
40.63  730
44.81  315
54.74  357
57.24  367
63.06  291

[4]
The following is a computed powder diffractogram of Li2H6Br. It was derived from a PBE-relaxed structure, using λ = 1.5418 Å (Cu Kα).
Intensities are scaled so that the largest is 1000.

Atomic structure:
Unit cell a=4.7863 b=4.7863 c=4.7863 alpha=60.00 beta=60.00 gamma=60.00
Positions (direct):
Li 0.2500 0.2500 0.2500
Li 0.7500 0.7500 0.7500
H 0.1411 0.1411 0.8589
H 0.1411 0.8589 0.1411
H 0.1411 0.8589 0.8589
H 0.8589 0.1411 0.1411
H 0.8589 0.1411 0.8589
H 0.8589 0.8589 0.1411
Br 0.5000 0.5000 0.5000

The 9 most intense peaks (5 to 70 degrees two-theta), by angle:
Position (°2θ)  intensity
22.75  1000
26.33  562
37.58  622
44.39  573
46.47  125
54.20  106
59.53  251
61.24  167
67.83  199

[5]
The following is a computed powder diffractogram of Pm2Dy6ErTm. It was derived from a PBE-relaxed structure, using λ = 1.5418 Å (Cu Kα).
Intensities are scaled so that the largest is 1000.

Atomic structure:
Unit cell a=8.7515 b=8.7515 c=9.6365 alpha=94.48 beta=94.48 gamma=118.12
Positions (direct):
Pm 0.1949 0.2986 0.0427
Pm 0.2986 0.1949 0.5427
Pm 0.7014 0.8051 0.4573
Pm 0.8051 0.7014 0.9573
Dy 0.0199 0.5749 0.1874
Dy 0.1258 0.7477 0.5569
Dy 0.2523 0.8742 0.9431
Dy 0.2912 0.5019 0.3804
Dy 0.4251 0.9801 0.3126
Dy 0.4981 0.7088 0.1196
Dy 0.5019 0.2912 0.8804
Dy 0.5749 0.0199 0.6874
Dy 0.7088 0.4981 0.6196
Dy 0.7477 0.1258 0.0569
Dy 0.8742 0.2523 0.4431
Dy 0.9801 0.4251 0.8126
Er 0.0191 0.9809 0.2500
Er 0.9809 0.0191 0.7500
Tm 0.4074 0.5926 0.7500
Tm 0.5926 0.4074 0.2500

The 10 most intense peaks (5 to 70 degrees two-theta), by angle:
Position (°2θ)  intensity
28.77  572
30.57  659
30.77  917
31.45  778
31.69  556
31.86  1000
32.40  256
33.65  884
53.38  303
61.16  346

[6]
The following is a computed powder diffractogram of Nb6ZnGe3. It was derived from a PBE-relaxed structure, using λ = 1.5418 Å (Cu Kα).
Intensities are scaled so that the largest is 1000.

Atomic structure:
Unit cell a=7.8357 b=7.8357 c=6.5558 alpha=90.00 beta=90.00 gamma=113.51
Positions (direct):
Nb 0.0255 0.4469 0.9774
Nb 0.0486 0.9514 0.5000
Nb 0.2519 0.3635 0.6686
Nb 0.2658 0.7342 0.7335
Nb 0.3635 0.2519 0.1686
Nb 0.4469 0.0255 0.4774
Nb 0.5531 0.9745 0.9774
Nb 0.6365 0.7481 0.6686
Nb 0.7342 0.2658 0.2335
Nb 0.7481 0.6365 0.1686
Nb 0.9514 0.0486 0.0000
Nb 0.9745 0.5531 0.4774
Zn 0.1771 0.8229 0.1678
Zn 0.8229 0.1771 0.6678
Ge 0.0744 0.2874 0.3258
Ge 0.2874 0.0744 0.8258
Ge 0.4176 0.5824 0.0112
Ge 0.5824 0.4176 0.5112
Ge 0.7126 0.9256 0.3258
Ge 0.9256 0.7126 0.8258

The 10 most intense peaks (5 to 70 degrees two-theta), by angle:
Position (°2θ)  intensity
18.32  113
37.13  1000
38.44  90
40.08  197
42.07  101
42.48  91
43.67  315
44.41  85
62.26  106
66.64  57

[7]
The following is a computed powder diffractogram of Mg2CoBr6. It was derived from a PBE-relaxed structure, using λ = 1.5418 Å (Cu Kα).
Intensities are scaled so that the largest is 1000.

Atomic structure:
Unit cell a=6.6536 b=6.6536 c=7.0521 alpha=90.00 beta=90.00 gamma=120.00
Positions (direct):
Mg 0.3333 0.6667 0.0000
Mg 0.6667 0.3333 0.0000
Co 0.0000 0.0000 0.0000
Br 0.0000 0.3244 0.2095
Br 0.0000 0.6756 0.7905
Br 0.3244 0.0000 0.2095
Br 0.3244 0.3244 0.7905
Br 0.6756 0.0000 0.7905
Br 0.6756 0.6756 0.2095

The 10 most intense peaks (5 to 70 degrees two-theta), by angle:
Position (°2θ)  intensity
12.55  438
25.26  147
29.69  1000
37.16  471
47.34  546
49.16  83
54.39  101
56.87  149
59.32  107
61.65  101

[8]
The following is a computed powder diffractogram of Tm3CdSn. It was derived from a PBE-relaxed structure, using λ = 1.5418 Å (Cu Kα).
Intensities are scaled so that the largest is 1000.

Atomic structure:
Unit cell a=4.6457 b=6.6405 c=9.3172 alpha=90.00 beta=90.00 gamma=90.00
Positions (direct):
Tm 0.2500 0.0067 0.2087
Tm 0.2500 0.2500 0.5768
Tm 0.2500 0.4933 0.2087
Tm 0.7500 0.5067 0.7913
Tm 0.7500 0.7500 0.4232
Tm 0.7500 0.9933 0.7913
Cd 0.2500 0.2500 0.9214
Cd 0.7500 0.7500 0.0786
Sn 0.2500 0.7500 0.6304
Sn 0.7500 0.2500 0.3696

The 10 most intense peaks (5 to 70 degrees two-theta), by angle:
Position (°2θ)  intensity
23.36  167
27.11  343
28.54  129
33.13  367
34.57  1000
34.75  593
38.77  338
51.87  322
67.02  174
67.49  145

[9]
The following is a computed powder diffractogram of Ac3PrNd3Te8. It was derived from a PBE-relaxed structure, using λ = 1.5418 Å (Cu Kα).
Intensities are scaled so that the largest is 1000.

Atomic structure:
Unit cell a=9.2576 b=9.2576 c=9.2576 alpha=59.05 beta=59.05 gamma=59.05
Positions (direct):
Ac 0.0000 0.5000 0.5000
Ac 0.5000 0.0000 0.5000
Ac 0.5000 0.5000 0.0000
Pr 0.5000 0.5000 0.5000
Nd 0.0000 0.0000 0.5000
Nd 0.0000 0.5000 0.0000
Nd 0.5000 0.0000 0.0000
Te 0.2384 0.7522 0.7522
Te 0.2452 0.2452 0.2452
Te 0.2478 0.2478 0.7616
Te 0.2478 0.7616 0.2478
Te 0.7522 0.2384 0.7522
Te 0.7522 0.7522 0.2384
Te 0.7548 0.7548 0.7548
Te 0.7616 0.2478 0.2478

The 10 most intense peaks (5 to 70 degrees two-theta), by angle:
Position (°2θ)  intensity
11.85  46
13.63  50
27.45  1000
38.92  392
39.50  379
47.79  72
48.78  207
56.66  131
63.68  182
64.50  180

[10]
The following is a computed powder diffractogram of Tm3SbRu. It was derived from a PBE-relaxed structure, using λ = 1.5418 Å (Cu Kα).
Intensities are scaled so that the largest is 1000.

Atomic structure:
Unit cell a=4.3268 b=6.6929 c=9.0249 alpha=90.00 beta=90.00 gamma=90.00
Positions (direct):
Tm 0.2500 0.0035 0.1505
Tm 0.2500 0.2500 0.5918
Tm 0.2500 0.4965 0.1505
Tm 0.7500 0.5035 0.8495
Tm 0.7500 0.7500 0.4082
Tm 0.7500 0.9965 0.8495
Sb 0.2500 0.7500 0.6425
Sb 0.7500 0.2500 0.3575
Ru 0.2500 0.2500 0.8954
Ru 0.7500 0.7500 0.1046

The 10 most intense peaks (5 to 70 degrees two-theta), by angle:
Position (°2θ)  intensity
28.45  355
28.58  770
35.34  1000
39.96  222
40.31  221
41.75  315
45.65  309
51.30  141
59.43  142
63.03  166

[11]
The following is a computed powder diffractogram of Ti4Ga3Sb. It was derived from a PBE-relaxed structure, using λ = 1.5418 Å (Cu Kα).
Intensities are scaled so that the largest is 1000.

Atomic structure:
Unit cell a=8.8917 b=5.5205 c=5.5125 alpha=90.00 beta=90.00 gamma=90.00
Positions (direct):
Ti 0.0000 0.0000 0.0000
Ti 0.0000 0.5000 0.5000
Ti 0.2500 0.2478 0.2500
Ti 0.2500 0.7522 0.7500
Ti 0.5000 0.0000 0.5000
Ti 0.5000 0.5000 0.0000
Ti 0.7500 0.2478 0.2500
Ti 0.7500 0.7522 0.7500
Ga 0.0000 0.5000 0.0000
Ga 0.2500 0.2620 0.7500
Ga 0.2500 0.7380 0.2500
Ga 0.5000 0.5000 0.5000
Ga 0.7500 0.2620 0.7500
Ga 0.7500 0.7380 0.2500
Sb 0.0000 0.0000 0.5000
Sb 0.5000 0.0000 0.0000

The 10 most intense peaks (5 to 70 degrees two-theta), by angle:
Position (°2θ)  intensity
18.94  25
24.93  106
38.13  37
38.41  1000
40.58  214
46.57  280
53.53  29
63.45  211
67.92  42
68.03  43

[12]
The following is a computed powder diffractogram of NaLaTiO4. It was derived from a PBE-relaxed structure, using λ = 1.5418 Å (Cu Kα).
Intensities are scaled so that the largest is 1000.

Atomic structure:
Unit cell a=3.7874 b=3.7874 c=13.2085 alpha=90.00 beta=90.00 gamma=90.00
Positions (direct):
Na 0.2500 0.2500 0.0833
Na 0.7500 0.7500 0.9167
La 0.2500 0.2500 0.3908
La 0.7500 0.7500 0.6092
Ti 0.2500 0.2500 0.7749
Ti 0.7500 0.7500 0.2251
O 0.2500 0.2500 0.5692
O 0.2500 0.2500 0.9081
O 0.2500 0.7500 0.2614
O 0.2500 0.7500 0.7386
O 0.7500 0.2500 0.2614
O 0.7500 0.2500 0.7386
O 0.7500 0.7500 0.0919
O 0.7500 0.7500 0.4308

The 10 most intense peaks (5 to 70 degrees two-theta), by angle:
Position (°2θ)  intensity
6.69  1000
27.14  479
31.15  473
33.46  358
34.16  89
43.51  162
48.05  208
48.40  125
56.04  153
58.37  162